1.
Structure and simulated powder diffractogram of HoCd2InHg4 (the PBE geometry in Alexandria; Cu Kα, 1.54184 Å).
No peak broadening, texture or thermal motion is included.

Atomic structure:
Cell: 4.3123 4.3123 11.9153 Å, 90.00 90.00 90.00°
Space group P4/mmm (No. 123)
Asymmetric unit:
Ho 0.0000 0.0000 0.0000 x1
Cd 0.5000 0.5000 0.3792 x2
In 0.0000 0.0000 0.5000 x1
Hg 0.0000 0.5000 0.1886 x4

Largest 8 diffraction maxima, low angle first, 2θ = 10–90°:
2θ/deg  Rel. int.  (hkl)
22.38  25  0 0 3
30.26  30  1 1 1
33.00  100  1 1 2
36.67  26  1 0 4
37.17  84  1 1 3
41.90  60  2 0 0
57.66  26  2 0 5
70.35  26  1 1 8

2.
Structure and simulated powder diffractogram of HoCdSnHg (the PBE geometry in Alexandria; Cu Kα, 1.54184 Å).
No peak broadening, texture or thermal motion is included.

Atomic structure:
Cell: 4.3613 4.5543 4.8583 Å, 90.00 90.00 90.00°
Space group Pmmm (No. 47)
Asymmetric unit:
Ho 0.0000 0.0000 0.0000 x1
Cd 0.0000 0.5000 0.5000 x1
Sn 0.5000 0.5000 0.0000 x1
Hg 0.5000 0.0000 0.5000 x1

Largest 8 diffraction maxima, low angle first, 2θ = 10–90°:
2θ/deg  Rel. int.  (hkl)
33.92  100  1 1 1
37.01  20  0 0 2
39.58  16  0 2 0
41.41  14  2 0 0
55.30  12  0 2 2
64.72  16  1 1 3
68.20  13  1 3 1
70.74  12  3 1 1

3.
Structure and simulated powder diffractogram of HoTm2CdHg4 (the PBE geometry in Alexandria; Cu Kα, 1.54184 Å).
No peak broadening, texture or thermal motion is included.

Atomic structure:
Cell: 5.1122 5.1122 25.6870 Å, 90.00 90.00 120.00°
Space group R-3m (No. 166, hexagonal axes)
Asymmetric unit:
Ho 0.0000 0.0000 0.0000 x3
Tm 0.0000 0.0000 0.2435 x6
Cd 0.0000 0.0000 0.5000 x3
Hg 0.0000 0.0000 0.1226 x6
Hg 0.0000 0.0000 0.3699 x6

Largest 8 diffraction maxima, low angle first, 2θ = 10–90°:
2θ/deg  Rel. int.  (hkl)
34.51  100  0 1 8
35.11  100  1 1 0
50.05  35  2 0 8
61.43  16  1 0 16
62.60  36  1 2 8
62.99  19  3 0 0
83.44  14  2 1 16
84.47  16  3 1 8

4.
Structure and simulated powder diffractogram of CdHgI4 (the PBE geometry in Alexandria; Cu Kα, 1.54184 Å).
No peak broadening, texture or thermal motion is included.

Atomic structure:
Cell: 6.6692 6.6692 12.4366 Å, 90.00 90.00 90.00°
Space group I-4 (No. 82)
Asymmetric unit:
Cd 0.0000 0.0000 0.0000 x2
Hg 0.0000 0.5000 0.7500 x2
I 0.2432 0.2512 0.3762 x8

Largest 8 diffraction maxima, low angle first, 2θ = 10–90°:
2θ/deg  Rel. int.  (hkl)
15.07  38  1 0 1
23.68  100  1 1 2
30.83  17  1 2 1
38.17  27  2 2 0
39.63  49  2 0 4
45.41  35  3 1 2
47.94  15  1 1 6
69.97  18  4 2 4

5.
Structure and simulated powder diffractogram of Cd2HgI (the PBE geometry in Alexandria; Cu Kα, 1.54184 Å).
No peak broadening, texture or thermal motion is included.

Atomic structure:
Cell: 4.1843 4.1843 24.0328 Å, 90.00 90.00 120.00°
Space group R-3m (No. 166, hexagonal axes)
Asymmetric unit:
Cd 0.0000 0.0000 0.2418 x6
Hg 0.0000 0.0000 0.5000 x3
I 0.0000 0.0000 0.0000 x3

Largest 8 diffraction maxima, low angle first, 2θ = 10–90°:
2θ/deg  Rel. int.  (hkl)
28.77  100  1 0 4
38.94  42  0 1 8
43.24  34  1 1 0
52.77  18  0 2 4
59.59  13  2 0 8
64.40  18  1 1 12
70.52  15  2 1 4
76.43  12  1 2 8

6.
Structure and simulated powder diffractogram of Cd2HgSbI2 (the PBE geometry in Alexandria; Cu Kα, 1.54184 Å).
No peak broadening, texture or thermal motion is included.

Atomic structure:
Cell: 17.0433 7.8916 7.2826 Å, 90.00 90.00 90.00°
Space group Cmcm (No. 63)
Asymmetric unit:
Cd 0.0963 0.0000 0.0000 x8
Hg 0.0000 0.5000 0.0000 x4
Sb 0.0000 0.2125 0.2500 x4
I 0.1846 0.2124 0.7500 x8

Largest 8 diffraction maxima, low angle first, 2θ = 10–90°:
2θ/deg  Rel. int.  (hkl)
10.38  61  2 0 0
19.25  48  3 1 0
22.83  100  3 1 1
24.87  35  2 2 0
26.62  30  2 0 2
33.49  89  0 2 2
37.91  57  5 1 2
43.45  32  5 3 0

7.
Structure and simulated powder diffractogram of Cd16InHg12 (the PBE geometry in Alexandria; Cu Kα, 1.54184 Å).
No peak broadening, texture or thermal motion is included.

Atomic structure:
Cell: 13.8273 14.0416 8.7692 Å, 90.00 121.89 90.00°
Space group Cm (No. 8)
Asymmetric unit:
Cd 0.0000 0.0000 0.0000 x2
Cd 0.0006 0.3150 0.7411 x4
Cd 0.0937 0.5000 0.6791 x2
Cd 0.0993 0.3315 0.4540 x4
Cd 0.1189 0.1946 0.1132 x4
Cd 0.1939 0.0000 0.3868 x2
Cd 0.3157 0.3507 0.8436 x4
Cd 0.3185 0.3121 0.4375 x4
Cd 0.4133 0.0000 0.7949 x2
Cd 0.4244 0.1752 0.0539 x4
In 0.2622 0.0000 0.9823 x2
Hg 0.0522 0.1141 0.7284 x4
Hg 0.0826 0.5000 0.2082 x2
Hg 0.2169 0.3874 0.0665 x4
Hg 0.2415 0.1609 0.6443 x4
Hg 0.3016 0.5000 0.5845 x2
Hg 0.3600 0.1163 0.3347 x4
Hg 0.4810 0.3808 0.3100 x4

Largest 8 diffraction maxima, low angle first, 2θ = 10–90°:
2θ/deg  Rel. int.  (hkl)
28.80  51  2 4 -1
29.88  58  4 2 -2
31.52  74  3 1 -3
34.03  53  5 1 -1
34.66  100  2 0 2
36.42  59  1 5 1
36.53  54  3 3 1
38.44  76  0 6 0

8.
Structure and simulated powder diffractogram of CdIn9Hg6 (the PBE geometry in Alexandria; Cu Kα, 1.54184 Å).
No peak broadening, texture or thermal motion is included.

Atomic structure:
Cell: 8.2940 8.2940 12.3699 Å, 90.00 90.00 90.00°
Space group I4/m (No. 87)
Asymmetric unit:
Cd 0.0000 0.0000 0.0000 x2
In 0.0000 0.0000 0.5000 x2
In 0.1477 0.6508 0.3390 x16
Hg 0.0000 0.0000 0.2464 x4
Hg 0.1463 0.6549 0.0000 x8

Largest 8 diffraction maxima, low angle first, 2θ = 10–90°:
2θ/deg  Rel. int.  (hkl)
30.48  10  2 2 0
32.47  100  1 2 3
34.19  63  3 1 0
43.94  11  0 0 6
45.34  13  3 1 4
50.48  11  4 1 3
64.60  21  5 2 3
65.84  11  3 3 6

9.
Structure and simulated powder diffractogram of Cd3In5Hg16 (the PBE geometry in Alexandria; Cu Kα, 1.54184 Å).
No peak broadening, texture or thermal motion is included.

Atomic structure:
Cell: 13.3010 7.6864 13.0663 Å, 90.00 98.25 90.00°
Space group Cm (No. 8)
Asymmetric unit:
Cd 0.0000 0.0000 0.0000 x2
Cd 0.0145 0.2845 0.4911 x4
In 0.1801 0.0000 0.4271 x2
In 0.1915 0.2502 0.9631 x4
In 0.2226 0.5000 0.1706 x2
In 0.3967 0.0000 0.6405 x2
Hg 0.0012 0.2323 0.7965 x4
Hg 0.0064 0.5000 0.9900 x2
Hg 0.0826 0.2814 0.2792 x4
Hg 0.1045 0.0000 0.6470 x2
Hg 0.1405 0.5000 0.6722 x2
Hg 0.1888 0.0000 0.1574 x2
Hg 0.2878 0.3104 0.5353 x4
Hg 0.2917 0.0000 0.8275 x2
Hg 0.3144 0.5000 0.8364 x2
Hg 0.3757 0.0000 0.3211 x2
Hg 0.3915 0.5000 0.3510 x2
Hg 0.3924 0.2423 0.1187 x4

Largest 8 diffraction maxima, low angle first, 2θ = 10–90°:
2θ/deg  Rel. int.  (hkl)
28.95  20  4 0 1
29.35  100  2 2 -2
31.18  21  0 2 3
32.56  21  2 0 4
32.85  41  2 2 -3
36.04  31  4 0 -4
37.38  59  4 2 1
47.32  38  0 4 0

10.
Structure and simulated powder diffractogram of Cd15In6Hg8 (the PBE geometry in Alexandria; Cu Kα, 1.54184 Å).
No peak broadening, texture or thermal motion is included.

Atomic structure:
Cell: 14.3403 14.3403 14.3403 Å, 90.00 90.00 90.00°
Space group Fm-3m (No. 225)
Asymmetric unit:
Cd 0.0000 0.0000 0.0000 x4
Cd 0.0000 0.2500 0.2500 x24
Cd 0.1629 0.1629 0.3371 x32
In 0.0000 0.0000 0.3260 x24
Hg 0.1192 0.1192 0.1192 x32

Largest 8 diffraction maxima, low angle first, 2θ = 10–90°:
2θ/deg  Rel. int.  (hkl)
32.44  57  3 3 3
35.41  100  4 4 0
37.09  35  5 3 1
41.78  15  6 2 2
55.49  14  5 5 5
58.65  15  9 1 1
63.57  17  8 4 4
64.67  22  9 3 3

11.
Structure and simulated powder diffractogram of Cd4In2Hg9 (the PBE geometry in Alexandria; Cu Kα, 1.54184 Å).
No peak broadening, texture or thermal motion is included.

Atomic structure:
Cell: 6.5916 3.8072 31.6919 Å, 90.00 90.06 90.00°
Space group C2/m (No. 12)
Asymmetric unit:
Cd 0.1668 0.0000 0.0997 x4
Cd 0.1666 0.0000 0.3669 x4
In 0.1668 0.0000 0.7669 x4
Hg 0.9998 0.5000 0.3021 x4
Hg 0.0000 0.5000 0.5000 x2
Hg 0.0005 0.5000 0.1645 x4
Hg 0.1665 0.0000 0.5676 x4
Hg 0.1670 0.0000 0.9659 x4

Largest 8 diffraction maxima, low angle first, 2θ = 10–90°:
2θ/deg  Rel. int.  (hkl)
27.64  29  2 0 2
30.57  100  2 0 -5
32.00  74  1 1 -6
37.37  39  1 1 9
39.44  48  2 0 10
42.80  32  0 0 15
47.79  71  3 1 0
66.07  53  3 1 15

12.
Structure and simulated powder diffractogram of Cd2In9Hg4 (the PBE geometry in Alexandria; Cu Kα, 1.54184 Å).
No peak broadening, texture or thermal motion is included.

Atomic structure:
Cell: 3.3830 7.4648 16.2163 Å, 89.85 89.24 77.35°
Space group P-1 (No. 2)
Asymmetric unit:
Cd 0.1417 0.2139 0.2047 x2
In 0.1575 0.1888 0.3978 x2
In 0.1586 0.1820 0.0107 x2
In 0.4727 0.5280 0.1026 x2
In 0.4774 0.5416 0.2984 x2
In 0.5000 0.5000 0.5000 x1
Hg 0.1673 0.1652 0.5955 x2
Hg 0.1822 0.1332 0.8052 x2

Largest 8 diffraction maxima, low angle first, 2θ = 10–90°:
2θ/deg  Rel. int.  (hkl)
27.51  32  0 0 5
30.17  95  0 1 -5
32.13  100  1 -1 0
32.37  99  1 2 0
37.05  79  0 3 0
37.13  31  0 2 5
38.71  55  1 1 5
39.23  51  1 0 -5